Entry 1:
Starting from a PBE-relaxed structure, the powder diffractogram of TbFeRu was calculated for a wavelength of 1.5418 Å.
Kinematic intensities with the Lorentz-polarization factor, no thermal factor.

Main lines, by angle (10° ≤ 2θ ≤ 90°):
d 2.627, I = 58; d 2.512, I = 38; d 2.383, I = 42; d 2.249, I = 100; d 2.216, I = 26; d 2.185, I = 25; d 1.517, I = 11; d 1.494, I = 15; d 1.465, I = 17; d 1.432, I = 23; d 1.363, I = 15; d 1.314, I = 22

Cell and atoms:
Cell lengths 13.404, 13.404, 13.404 Å; angles 22.61, 22.61, 22.61 degrees
Atoms (fractional coordinates):
1 Tb 0.041 0.041 0.041
2 Tb 0.180 0.180 0.180
3 Tb 0.264 0.264 0.264
4 Tb 0.736 0.736 0.736
5 Tb 0.820 0.820 0.820
6 Tb 0.959 0.959 0.959
7 Fe 0.216 0.724 0.724
8 Fe 0.276 0.276 0.784
9 Fe 0.276 0.784 0.276
10 Fe 0.724 0.216 0.724
11 Fe 0.724 0.724 0.216
12 Fe 0.784 0.276 0.276
13 Ru 0.000 0.500 0.500
14 Ru 0.392 0.392 0.392
15 Ru 0.500 0.000 0.500
16 Ru 0.500 0.500 0.000
17 Ru 0.500 0.500 0.500
18 Ru 0.608 0.608 0.608

Entry 2:
Starting from a PBE-relaxed structure, the powder diffractogram of NaTlH2 was calculated for a wavelength of 1.5418 Å.
Kinematic intensities with the Lorentz-polarization factor, no thermal factor.

Main lines, by angle (10° ≤ 2θ ≤ 90°):
d 6.347, I = 100; d 3.174, I = 32; d 2.987, I = 75; d 2.882, I = 53; d 2.553, I = 40; d 2.368, I = 42; d 2.022, I = 25; d 1.870, I = 15; d 1.746, I = 18; d 1.684, I = 20; d 1.611, I = 11; d 1.530, I = 23

Cell and atoms:
Cell lengths 6.660, 6.660, 6.660 Å; angles 30.40, 30.40, 30.40 degrees
Atoms (fractional coordinates):
1 Na 0.000 0.000 0.000
2 Tl 0.830 0.830 0.830
3 H 0.404 0.404 0.404
4 H 0.593 0.593 0.593

Entry 3:
Starting from a PBE-relaxed structure, the powder diffractogram of KVNiSe3 was calculated for a wavelength of 1.5418 Å.
Kinematic intensities with the Lorentz-polarization factor, no thermal factor.

Main lines, by angle (10° ≤ 2θ ≤ 90°):
d 7.652, I = 100; d 3.035, I = 23; d 2.880, I = 26; d 2.770, I = 9; d 2.754, I = 40; d 2.623, I = 18; d 2.373, I = 12; d 2.214, I = 15; d 2.082, I = 12; d 1.992, I = 23; d 1.803, I = 15; d 1.657, I = 16

Cell and atoms:
Cell lengths 8.527, 3.607, 9.635 Å; angles 90.00, 116.18, 90.00 degrees
Atoms (fractional coordinates):
1 K 0.012 0.250 0.265
2 K 0.988 0.750 0.735
3 V 0.468 0.250 0.176
4 V 0.532 0.750 0.824
5 Ni 0.479 0.750 0.392
6 Ni 0.521 0.250 0.608
7 Se 0.251 0.750 0.142
8 Se 0.323 0.750 0.555
9 Se 0.343 0.250 0.874
10 Se 0.657 0.750 0.126
11 Se 0.677 0.250 0.445
12 Se 0.749 0.250 0.858

Entry 4:
Starting from a PBE-relaxed structure, the powder diffractogram of MnBi3S was calculated for a wavelength of 1.5418 Å.
Kinematic intensities with the Lorentz-polarization factor, no thermal factor.

Main lines, by angle (10° ≤ 2θ ≤ 90°):
d 5.118, I = 41; d 3.619, I = 9; d 2.955, I = 100; d 2.559, I = 72; d 2.289, I = 22; d 1.809, I = 52; d 1.706, I = 11; d 1.543, I = 45; d 1.477, I = 18; d 1.279, I = 9; d 1.174, I = 20; d 1.144, I = 25

Cell and atoms:
Cell lengths 5.118, 5.118, 5.118 Å; angles 90.00, 90.00, 90.00 degrees
Atoms (fractional coordinates):
1 Mn 0.000 0.000 0.000
2 Bi 0.000 0.000 0.500
3 Bi 0.000 0.500 0.000
4 Bi 0.500 0.000 0.000
5 S 0.500 0.500 0.500

Entry 5:
Starting from a PBE-relaxed structure, the powder diffractogram of La6In2CoRh was calculated for a wavelength of 1.5418 Å.
Kinematic intensities with the Lorentz-polarization factor, no thermal factor.

Main lines, by angle (10° ≤ 2θ ≤ 90°):
d 3.777, I = 11; d 3.235, I = 51; d 3.132, I = 100; d 3.121, I = 36; d 2.793, I = 63; d 2.671, I = 77; d 2.506, I = 17; d 1.934, I = 27; d 1.928, I = 31; d 1.889, I = 17; d 1.808, I = 14; d 1.566, I = 13

Cell and atoms:
Cell lengths 7.550, 7.560, 7.711 Å; angles 119.24, 119.02, 90.15 degrees
Atoms (fractional coordinates):
1 La 0.186 0.200 0.491
2 La 0.245 0.737 0.996
3 La 0.303 0.697 0.513
4 La 0.697 0.303 0.487
5 La 0.755 0.263 0.004
6 La 0.814 0.800 0.509
7 In 0.249 0.251 0.000
8 In 0.751 0.749 0.000
9 Co 0.000 0.500 0.500
10 Rh 0.500 0.000 0.500

Entry 6:
Starting from a PBE-relaxed structure, the powder diffractogram of Ac5Bi2Te4 was calculated for a wavelength of 1.5418 Å.
Kinematic intensities with the Lorentz-polarization factor, no thermal factor.

Main lines, by angle (10° ≤ 2θ ≤ 90°):
d 4.423, I = 36; d 3.910, I = 32; d 3.572, I = 70; d 3.237, I = 53; d 2.560, I = 100; d 2.492, I = 57; d 2.276, I = 22; d 1.786, I = 26; d 1.580, I = 22; d 1.478, I = 19; d 1.465, I = 25; d 1.416, I = 22

Cell and atoms:
Cell lengths 22.293, 22.293, 22.293 Å; angles 13.19, 13.19, 13.19 degrees
Atoms (fractional coordinates):
1 Ac 0.000 0.000 0.000
2 Ac 0.130 0.130 0.130
3 Ac 0.278 0.278 0.278
4 Ac 0.722 0.722 0.722
5 Ac 0.870 0.870 0.870
6 Bi 0.362 0.362 0.362
7 Bi 0.638 0.638 0.638
8 Te 0.082 0.082 0.082
9 Te 0.186 0.186 0.186
10 Te 0.814 0.814 0.814
11 Te 0.918 0.918 0.918

Entry 7:
Starting from a PBE-relaxed structure, the powder diffractogram of Mg3Pa5O16 was calculated for a wavelength of 1.5418 Å.
Kinematic intensities with the Lorentz-polarization factor, no thermal factor.

Main lines, by angle (10° ≤ 2θ ≤ 90°):
d 5.514, I = 39; d 5.161, I = 30; d 4.997, I = 100; d 4.692, I = 71; d 3.843, I = 40; d 3.745, I = 26; d 3.289, I = 40; d 2.948, I = 68; d 2.856, I = 85; d 2.807, I = 27; d 2.652, I = 25; d 2.501, I = 28

Cell and atoms:
Cell lengths 6.533, 6.533, 10.036 Å; angles 93.41, 93.41, 64.43 degrees
Atoms (fractional coordinates):
1 Mg 0.000 0.000 0.000
2 Mg 0.164 0.680 0.504
3 Mg 0.680 0.164 0.504
4 Pa 0.003 0.500 0.019
5 Pa 0.160 0.160 0.308
6 Pa 0.480 0.480 0.781
7 Pa 0.500 0.003 0.019
8 Pa 0.669 0.669 0.512
9 O 0.003 0.497 0.405
10 O 0.007 0.007 0.414
11 O 0.165 0.659 0.908
12 O 0.171 0.171 0.914
13 O 0.300 0.904 0.138
14 O 0.309 0.309 0.148
15 O 0.357 0.357 0.628
16 O 0.382 0.761 0.643
17 O 0.497 0.003 0.405
18 O 0.506 0.506 0.408
19 O 0.657 0.657 0.915
20 O 0.659 0.165 0.908
21 O 0.761 0.382 0.643
22 O 0.840 0.840 0.600
23 O 0.841 0.841 0.106
24 O 0.904 0.300 0.138

Entry 8:
Starting from a PBE-relaxed structure, the powder diffractogram of RbAcDy4S8 was calculated for a wavelength of 1.5418 Å.
Kinematic intensities with the Lorentz-polarization factor, no thermal factor.

Main lines, by angle (10° ≤ 2θ ≤ 90°):
d 6.779, I = 38; d 4.129, I = 23; d 3.659, I = 47; d 3.569, I = 100; d 3.526, I = 27; d 3.389, I = 25; d 2.968, I = 50; d 2.282, I = 34; d 2.260, I = 31; d 2.135, I = 52; d 2.064, I = 50; d 1.524, I = 17

Cell and atoms:
Cell lengths 8.550, 8.550, 8.550 Å; angles 57.75, 57.75, 57.75 degrees
Atoms (fractional coordinates):
1 Rb 0.000 0.000 0.000
2 Ac 0.364 0.364 0.364
3 Dy 0.363 0.363 0.881
4 Dy 0.363 0.881 0.363
5 Dy 0.742 0.742 0.742
6 Dy 0.881 0.363 0.363
7 S 0.123 0.123 0.566
8 S 0.123 0.566 0.123
9 S 0.133 0.619 0.619
10 S 0.139 0.139 0.139
11 S 0.566 0.123 0.123
12 S 0.611 0.611 0.611
13 S 0.619 0.133 0.619
14 S 0.619 0.619 0.133

Entry 9:
Starting from a PBE-relaxed structure, the powder diffractogram of LiDy3Co8 was calculated for a wavelength of 1.5418 Å.
Kinematic intensities with the Lorentz-polarization factor, no thermal factor.

Main lines, by angle (10° ≤ 2θ ≤ 90°):
d 8.154, I = 9; d 4.267, I = 10; d 4.083, I = 10; d 3.244, I = 9; d 2.720, I = 8; d 2.500, I = 52; d 2.132, I = 100; d 2.042, I = 22; d 1.444, I = 14; d 1.361, I = 27; d 1.251, I = 11; d 1.249, I = 10

Cell and atoms:
Cell lengths 8.651, 8.651, 8.651 Å; angles 33.63, 33.63, 33.63 degrees
Atoms (fractional coordinates):
1 Li 0.000 0.000 0.000
2 Dy 0.121 0.121 0.121
3 Dy 0.504 0.504 0.504
4 Dy 0.633 0.633 0.633
5 Co 0.064 0.564 0.564
6 Co 0.066 0.066 0.568
7 Co 0.066 0.568 0.066
8 Co 0.316 0.316 0.316
9 Co 0.564 0.064 0.564
10 Co 0.564 0.564 0.064
11 Co 0.568 0.066 0.066
12 Co 0.815 0.815 0.815